Structure and calculated PXRD pattern of Dy3Pb2 (DFT lattice parameters and positions (PBE); Cu Kα X-rays).

The 10 most intense peaks (5 to 70 degrees two-theta), most intense first:
2θ = 32.19°, I = 100; 2θ = 32.81°, I = 80; 2θ = 28.80°, I = 68; 2θ = 47.62°, I = 38; 2θ = 36.76°, I = 36; 2θ = 31.06°, I = 36; 2θ = 63.43°, I = 26; 2θ = 53.21°, I = 25; 2θ = 69.42°, I = 23; 2θ = 59.65°, I = 22

Structural model:
Cell lengths 8.9286, 8.9286, 8.9286 Å; angles 139.37, 139.37, 58.81 degrees
Sites, in units of the cell vectors:
Dy (0.0000, 0.0000, 0.0000)
Dy (0.0000, 0.0000, 0.5000)
Dy (0.0000, 0.5000, 0.0000)
Dy (0.3750, 0.6250, 0.7500)
Dy (0.5000, 0.0000, 0.5000)
Dy (0.6250, 0.3750, 0.2500)
Pb (0.1758, 0.4258, 0.7500)
Pb (0.4258, 0.1758, 0.2500)
Pb (0.5742, 0.8242, 0.7500)
Pb (0.8242, 0.5742, 0.2500)

---

Structure and calculated PXRD pattern of DyPb5 (DFT lattice parameters and positions (PBE); Cu Kα X-rays).

The 10 most intense peaks (5 to 70 degrees two-theta), most intense first:
2θ = 31.49°, I = 100; 2θ = 33.80°, I = 20; 2θ = 37.24°, I = 16; 2θ = 59.02°, I = 16; 2θ = 38.40°, I = 15; 2θ = 63.58°, I = 14; 2θ = 65.15°, I = 13; 2θ = 51.16°, I = 13; 2θ = 52.07°, I = 12; 2θ = 65.74°, I = 12

Structural model:
Cell lengths 8.3151, 8.3151, 4.6887 Å; angles 90.00, 90.00, 146.24 degrees
Sites, in units of the cell vectors:
Dy (0.0000, 0.0000, 0.0000)
Pb (0.1675, 0.8325, 0.5000)
Pb (0.3428, 0.6572, 0.0000)
Pb (0.5000, 0.5000, 0.5000)
Pb (0.6572, 0.3428, 0.0000)
Pb (0.8325, 0.1675, 0.5000)

---

Structure and calculated PXRD pattern of Dy5Pb4 (DFT lattice parameters and positions (PBE); Cu Kα X-rays).

The 10 most intense peaks (5 to 70 degrees two-theta), most intense first:
2θ = 29.53°, I = 100; 2θ = 41.62°, I = 81; 2θ = 28.66°, I = 62; 2θ = 51.85°, I = 33; 2θ = 31.52°, I = 31; 2θ = 42.25°, I = 29; 2θ = 36.82°, I = 26; 2θ = 67.66°, I = 19; 2θ = 60.74°, I = 19; 2θ = 64.11°, I = 15

Structural model:
Cell lengths 7.4467, 7.4467, 7.4467 Å; angles 100.08, 100.08, 130.54 degrees
Sites, in units of the cell vectors:
Dy (0.0000, 0.0000, 0.0000)
Dy (0.2404, 0.6030, 0.8434)
Dy (0.3970, 0.2404, 0.6375)
Dy (0.6030, 0.7596, 0.3625)
Dy (0.7596, 0.3970, 0.1566)
Pb (0.0781, 0.3164, 0.3945)
Pb (0.3164, 0.9219, 0.2383)
Pb (0.6836, 0.0781, 0.7617)
Pb (0.9219, 0.6836, 0.6055)

---

Structure and calculated PXRD pattern of Dy2Pb3 (DFT lattice parameters and positions (PBE); Cu Kα X-rays).

The 10 most intense peaks (5 to 70 degrees two-theta), most intense first:
2θ = 32.45°, I = 100; 2θ = 31.93°, I = 75; 2θ = 32.58°, I = 37; 2θ = 34.19°, I = 34; 2θ = 33.93°, I = 28; 2θ = 39.92°, I = 27; 2θ = 51.83°, I = 25; 2θ = 65.54°, I = 14; 2θ = 60.76°, I = 13; 2θ = 58.53°, I = 12

Structural model:
Cell lengths 8.5642, 6.4367, 9.6807 Å; angles 60.27, 40.74, 78.99 degrees
Sites, in units of the cell vectors:
Dy (0.2640, 0.7360, 0.3403)
Dy (0.5903, 0.9097, 0.5140)
Dy (0.7360, 0.2640, 0.6597)
Dy (0.9097, 0.5903, 0.9860)
Pb (0.1305, 0.8073, 0.0738)
Pb (0.1762, 0.2615, 0.1195)
Pb (0.2615, 0.1762, 0.4427)
Pb (0.4400, 0.4400, 0.5600)
Pb (0.6900, 0.6900, 0.8100)
Pb (0.8073, 0.1305, 0.9885)

---

Structure and calculated PXRD pattern of Dy2Pd6Pb (DFT lattice parameters and positions (PBE); Cu Kα X-rays).

The 10 most intense peaks (5 to 70 degrees two-theta), most intense first:
2θ = 39.40°, I = 100; 2θ = 27.20°, I = 37; 2θ = 23.14°, I = 28; 2θ = 39.22°, I = 23; 2θ = 41.37°, I = 23; 2θ = 44.73°, I = 15; 2θ = 50.95°, I = 12; 2θ = 62.55°, I = 11; 2θ = 66.12°, I = 10; 2θ = 62.93°, I = 8

Structural model:
Cell lengths 7.9024, 7.9024, 3.5850 Å; angles 102.99, 102.99, 61.70 degrees
Sites, in units of the cell vectors:
Dy (0.1626, 0.1626, 0.1644)
Dy (0.8374, 0.8374, 0.8356)
Pd (0.1067, 0.5603, 0.3331)
Pd (0.2338, 0.7662, 0.0000)
Pd (0.4397, 0.8933, 0.6669)
Pd (0.5603, 0.1067, 0.3331)
Pd (0.7662, 0.2338, 0.0000)
Pd (0.8933, 0.4397, 0.6669)
Pb (0.5000, 0.5000, 0.5000)

---

Structure and calculated PXRD pattern of Dy2Pd8Pb (DFT lattice parameters and positions (PBE); Cu Kα X-rays).

The 10 most intense peaks (5 to 70 degrees two-theta), most intense first:
2θ = 40.13°, I = 100; 2θ = 38.01°, I = 32; 2θ = 37.29°, I = 23; 2θ = 54.30°, I = 15; 2θ = 36.39°, I = 11; 2θ = 23.64°, I = 11; 2θ = 23.92°, I = 9; 2θ = 69.16°, I = 8; 2θ = 34.58°, I = 8; 2θ = 61.67°, I = 7

Structural model:
Cell lengths 8.1811, 8.1811, 6.0165 Å; angles 111.49, 111.49, 33.64 degrees
Sites, in units of the cell vectors:
Dy (0.1874, 0.1874, 0.1875)
Dy (0.8126, 0.8126, 0.8125)
Pd (0.0001, 0.0001, 0.2394)
Pd (0.9999, 0.9999, 0.7606)
Pd (0.1798, 0.1798, 0.6801)
Pd (0.3550, 0.3550, 0.0907)
Pd (0.3546, 0.3546, 0.6187)
Pd (0.6454, 0.6454, 0.3813)
Pd (0.6450, 0.6450, 0.9093)
Pd (0.8202, 0.8202, 0.3199)
Pb (0.5000, 0.5000, 0.5000)

---

Structure and calculated PXRD pattern of Pm3Dy2Pb4 (DFT lattice parameters and positions (PBE); Cu Kα X-rays).

The 10 most intense peaks (5 to 70 degrees two-theta), most intense first:
2θ = 29.82°, I = 100; 2θ = 32.90°, I = 57; 2θ = 35.24°, I = 53; 2θ = 32.82°, I = 50; 2θ = 30.16°, I = 32; 2θ = 33.93°, I = 29; 2θ = 47.05°, I = 19; 2θ = 33.10°, I = 19; 2θ = 43.59°, I = 18; 2θ = 22.26°, I = 17

Structural model:
Cell lengths 8.6616, 8.6616, 6.8774 Å; angles 104.55, 104.55, 34.20 degrees
Sites, in units of the cell vectors:
Pm (0.0000, 0.0000, 0.0000)
Pm (0.1169, 0.1169, 0.5809)
Pm (0.8831, 0.8831, 0.4191)
Dy (0.3327, 0.3327, 0.9237)
Dy (0.6673, 0.6673, 0.0763)
Pb (0.2459, 0.2459, 0.2905)
Pb (0.4930, 0.4930, 0.7165)
Pb (0.5070, 0.5070, 0.2835)
Pb (0.7541, 0.7541, 0.7095)

---

Structure and calculated PXRD pattern of Pm2DyPb9 (DFT lattice parameters and positions (PBE); Cu Kα X-rays).

The 9 most intense peaks (5 to 70 degrees two-theta), most intense first:
2θ = 31.60°, I = 100; 2θ = 36.64°, I = 51; 2θ = 62.84°, I = 43; 2θ = 52.79°, I = 36; 2θ = 65.98°, I = 13; 2θ = 18.09°, I = 1; 2θ = 25.69°, I = 1; 2θ = 41.15°, I = 1; 2θ = 45.29°, I = 1

Structural model:
Cell lengths 4.9070, 4.9070, 14.7008 Å; angles 90.00, 90.00, 90.00 degrees
Sites, in units of the cell vectors:
Pm (0.0000, 0.0000, 0.1674)
Pm (0.0000, 0.0000, 0.8326)
Dy (0.0000, 0.0000, 0.5000)
Pb (0.0000, 0.5000, 0.0000)
Pb (0.0000, 0.5000, 0.3361)
Pb (0.0000, 0.5000, 0.6639)
Pb (0.5000, 0.0000, 0.0000)
Pb (0.5000, 0.0000, 0.3361)
Pb (0.5000, 0.0000, 0.6639)
Pb (0.5000, 0.5000, 0.1681)
Pb (0.5000, 0.5000, 0.5000)
Pb (0.5000, 0.5000, 0.8319)

---

Structure and calculated PXRD pattern of Pm6DyPb10 (DFT lattice parameters and positions (PBE); Cu Kα X-rays).

The 10 most intense peaks (5 to 70 degrees two-theta), most intense first:
2θ = 33.09°, I = 100; 2θ = 31.73°, I = 80; 2θ = 32.52°, I = 69; 2θ = 47.08°, I = 26; 2θ = 28.59°, I = 17; 2θ = 50.10°, I = 16; 2θ = 66.22°, I = 14; 2θ = 50.90°, I = 12; 2θ = 41.75°, I = 12; 2θ = 58.39°, I = 12

Structural model:
Cell lengths 9.5373, 9.5373, 6.5759 Å; angles 90.00, 90.00, 120.00 degrees
Sites, in units of the cell vectors:
Pm (0.0000, 0.3884, 0.2643)
Pm (0.0000, 0.6116, 0.7357)
Pm (0.3884, 0.0000, 0.2643)
Pm (0.3884, 0.3884, 0.7357)
Pm (0.6116, 0.0000, 0.7357)
Pm (0.6116, 0.6116, 0.2643)
Dy (0.0000, 0.0000, 0.5000)
Pb (0.0000, 0.2598, 0.7957)
Pb (0.0000, 0.7402, 0.2043)
Pb (0.2598, 0.0000, 0.7957)
Pb (0.2598, 0.2598, 0.2043)
Pb (0.3333, 0.6667, 0.0000)
Pb (0.3333, 0.6667, 0.5000)
Pb (0.6667, 0.3333, 0.0000)
Pb (0.6667, 0.3333, 0.5000)
Pb (0.7402, 0.0000, 0.2043)
Pb (0.7402, 0.7402, 0.7957)

---

Structure and calculated PXRD pattern of Pm3DyPb2 (DFT lattice parameters and positions (PBE); Cu Kα X-rays).

The 10 most intense peaks (5 to 70 degrees two-theta), most intense first:
2θ = 31.46°, I = 100; 2θ = 32.90°, I = 19; 2θ = 36.09°, I = 18; 2θ = 62.02°, I = 15; 2θ = 40.17°, I = 14; 2θ = 65.66°, I = 12; 2θ = 49.63°, I = 12; 2θ = 57.84°, I = 12; 2θ = 52.85°, I = 11; 2θ = 67.59°, I = 11

Structural model:
Cell lengths 8.5389, 8.5389, 4.4898 Å; angles 90.00, 90.00, 146.11 degrees
Sites, in units of the cell vectors:
Pm (0.0000, 0.0000, 0.0000)
Pm (0.3239, 0.6761, 0.0000)
Pm (0.6761, 0.3239, 0.0000)
Dy (0.5000, 0.5000, 0.5000)
Pb (0.1495, 0.8505, 0.5000)
Pb (0.8505, 0.1495, 0.5000)

---

Structure and calculated PXRD pattern of Pm3DyPb2 (DFT lattice parameters and positions (PBE); Cu Kα X-rays).

The 10 most intense peaks (5 to 70 degrees two-theta), most intense first:
2θ = 34.06°, I = 100; 2θ = 29.04°, I = 75; 2θ = 38.81°, I = 58; 2θ = 50.09°, I = 37; 2θ = 30.42°, I = 37; 2θ = 67.24°, I = 29; 2θ = 27.17°, I = 22; 2θ = 36.19°, I = 22; 2θ = 56.05°, I = 20; 2θ = 65.12°, I = 17

Structural model:
Cell lengths 4.6408, 4.6408, 8.8142 Å; angles 90.00, 90.00, 90.00 degrees
Sites, in units of the cell vectors:
Pm (0.0000, 0.0000, 0.0000)
Pm (0.0000, 0.5000, 0.6545)
Pm (0.5000, 0.0000, 0.3455)
Dy (0.5000, 0.5000, 0.0000)
Pb (0.0000, 0.5000, 0.2822)
Pb (0.5000, 0.0000, 0.7178)

---

Structure and calculated PXRD pattern of Pm2Sm3Dy6Pb (DFT lattice parameters and positions (PBE); Cu Kα X-rays).

The 6 most intense peaks (5 to 70 degrees two-theta), most intense first:
2θ = 30.84°, I = 100; 2θ = 35.76°, I = 51; 2θ = 51.47°, I = 36; 2θ = 61.23°, I = 28; 2θ = 61.18°, I = 14; 2θ = 64.25°, I = 12

Structural model:
Cell lengths 6.1486, 6.1486, 11.7880 Å; angles 95.02, 95.02, 120.02 degrees
Sites, in units of the cell vectors:
Pm (0.1660, 0.8340, 0.0000)
Pm (0.8340, 0.1660, 0.0000)
Sm (0.0000, 0.0000, 0.5000)
Sm (0.3321, 0.6679, 0.5000)
Sm (0.6679, 0.3321, 0.5000)
Dy (0.0913, 0.4179, 0.7523)
Dy (0.2558, 0.2558, 0.2491)
Dy (0.4179, 0.0913, 0.7523)
Dy (0.5821, 0.9087, 0.2477)
Dy (0.7442, 0.7442, 0.7509)
Dy (0.9087, 0.5821, 0.2477)
Pb (0.5000, 0.5000, 0.0000)